Entry 1:
Structure and theoretical PXRD pattern of Ni2Ir2W (a structure optimized by DFT (PBE); Cu Kα (weighted mean of Kα1 and Kα2)).

Crystal structure
a b c (Å): 8.388 3.759 5.936
angles (deg): 90.00 134.11 90.00
Space group C2/m (No. 12)
Asymmetric unit:
Ni 0.203 0.000 0.310 [4 per cell]
Ir 0.097 0.500 0.898 [4 per cell]
W 0.000 0.000 0.500 [2 per cell]

Principal peaks in the range 15 to 90 degrees two-theta, in order of falling intensity:
hkl  2theta  I_rel
1 1 1  41.1  100
3 1 -2  41.8  96
4 0 -1  48.1  32
2 0 -3  48.2  32
0 2 0  48.4  31
3 3 -2  85.8  24



Entry 2:
Structure and theoretical PXRD pattern of Ni5Ir4W (a structure optimized by DFT (PBE); Cu Kα (weighted mean of Kα1 and Kα2)).

Crystal structure
a b c (Å): 4.522 5.234 5.964
angles (deg): 77.12 74.81 74.98
Space group P-1 (No. 2)
Asymmetric unit:
Ni 0.000 0.000 0.000 [1 per cell]
Ni 0.203 0.293 0.597 [2 per cell]
Ni 0.400 0.104 0.194 [2 per cell]
Ir 0.199 0.804 0.602 [2 per cell]
Ir 0.393 0.608 0.204 [2 per cell]
W 0.000 0.500 0.000 [1 per cell]

Principal peaks in the range 15 to 90 degrees two-theta, in order of falling intensity:
hkl  2theta  I_rel
2 0 1  41.9  100
1 0 3  48.3  44
1 2 2  42.1  33
2 2 0  50.0  21
1 2 -3  71.9  13
1 -2 4  85.6  13



Entry 3:
Structure and theoretical PXRD pattern of Ni6Ir2W (a structure optimized by DFT (PBE); Cu Kα (weighted mean of Kα1 and Kα2)).

Crystal structure
a b c (Å): 6.178 6.193 6.696
angles (deg): 116.45 93.90 99.74
Space group P-1 (No. 2)
Asymmetric unit:
Ni 0.039 0.314 0.026 [2 per cell]
Ni 0.074 0.129 0.303 [2 per cell]
Ni 0.261 0.207 0.698 [2 per cell]
Ni 0.295 0.017 0.967 [2 per cell]
Ni 0.369 0.647 0.033 [2 per cell]
Ni 0.405 0.456 0.295 [2 per cell]
Ir 0.187 0.574 0.648 [2 per cell]
Ir 0.475 0.089 0.353 [2 per cell]
W 0.147 0.759 0.361 [2 per cell]

Principal peaks in the range 15 to 90 degrees two-theta, in order of falling intensity:
hkl  2theta  I_rel
0 3 -1  45.3  100
2 -2 2  43.1  71
1 2 -3  45.1  54
3 0 -1  45.4  47
1 2 0  39.5  47
0 0 3  46.0  45



Q: Which formula does entry 2 have?
A: Ni5Ir4W